# SnPb4Se5
Calculated powder X-ray diffraction pattern, a wavelength of 1.5418 Å. Input: a structure optimized by DFT (GGA-PBE).
Peak positions follow from Bragg's law for the DFT cell and can differ from measured ones.

Crystal structure
a = 18.025 Å, b = 18.025 Å, c = 18.025 Å
α = 13.90°, β = 13.90°, γ = 13.90°
Element x y z (fractional)
Sn 0.000 0.000 0.000
Pb 0.200 0.200 0.200
Pb 0.399 0.399 0.399
Pb 0.601 0.601 0.601
Pb 0.800 0.800 0.800
Se 0.099 0.099 0.099
Se 0.302 0.302 0.302
Se 0.500 0.500 0.500
Se 0.698 0.698 0.698
Se 0.901 0.901 0.901

The 10 most intense peaks (2θ from 15° to 90°), sorted by position:
2θ (°)	Rel. int.
24.98	302
28.92	1000
41.36	769
48.93	164
51.26	276
59.92	130
67.89	359
75.32	66
75.45	203
89.95	49

# Tm2MgPaN4
Calculated powder X-ray diffraction pattern, a wavelength of 1.5418 Å. Input: a structure optimized by DFT (GGA-PBE).
Peak positions follow from Bragg's law for the DFT cell and can differ from measured ones.

Crystal structure
a = 5.744 Å, b = 3.432 Å, c = 5.867 Å
α = 90.00°, β = 108.16°, γ = 90.00°
Element x y z (fractional)
Tm 0.000 0.000 0.000
Tm 0.500 0.500 0.000
Mg 0.000 0.500 0.500
Pa 0.500 0.000 0.500
N 0.250 0.500 0.252
N 0.263 0.000 0.744
N 0.737 0.000 0.256
N 0.750 0.500 0.748

The 10 most intense peaks (2θ from 15° to 90°), sorted by position:
2θ (°)	Rel. int.
16.24	366
18.88	256
32.11	507
32.30	1000
32.82	480
37.19	997
38.30	458
53.98	335
54.92	318
63.73	308

# Sm4TlGaHg2
Calculated powder X-ray diffraction pattern, a wavelength of 1.5418 Å. Input: a structure optimized by DFT (GGA-PBE).
Peak positions follow from Bragg's law for the DFT cell and can differ from measured ones.

Crystal structure
a = 9.260 Å, b = 9.260 Å, c = 9.260 Å
α = 33.63°, β = 33.63°, γ = 33.63°
Element x y z (fractional)
Sm 0.120 0.120 0.120
Sm 0.370 0.370 0.370
Sm 0.630 0.630 0.630
Sm 0.880 0.880 0.880
Tl 0.500 0.500 0.500
Ga 0.000 0.000 0.000
Hg 0.247 0.247 0.247
Hg 0.753 0.753 0.753

The 10 most intense peaks (2θ from 15° to 90°), sorted by position:
2θ (°)	Rel. int.
20.32	22
30.70	27
33.48	1000
48.08	180
59.83	285
59.94	85
70.29	60
70.41	52
80.19	156
89.69	32

# Ag2Pd3Au2
Calculated powder X-ray diffraction pattern, a wavelength of 1.5418 Å. Input: a structure optimized by DFT (GGA-PBE).
Peak positions follow from Bragg's law for the DFT cell and can differ from measured ones.

Crystal structure
a = 4.767 Å, b = 4.801 Å, c = 6.484 Å
α = 105.42°, β = 105.30°, γ = 105.81°
Element x y z (fractional)
Ag 0.125 0.122 0.244
Ag 0.875 0.878 0.756
Pd 0.000 0.500 0.000
Pd 0.246 0.746 0.494
Pd 0.754 0.254 0.506
Au 0.379 0.376 0.758
Au 0.621 0.624 0.242

The 10 most intense peaks (2θ from 15° to 90°), sorted by position:
2θ (°)	Rel. int.
20.69	308
23.31	178
38.90	1000
39.00	500
39.28	490
44.03	352
44.34	343
47.66	280
78.06	128
82.73	112

# HoCu6O12
Calculated powder X-ray diffraction pattern, a wavelength of 1.5418 Å. Input: a structure optimized by DFT (GGA-PBE).
Peak positions follow from Bragg's law for the DFT cell and can differ from measured ones.

Crystal structure
a = 6.457 Å, b = 6.457 Å, c = 6.457 Å
α = 109.47°, β = 109.47°, γ = 109.47°
Element x y z (fractional)
Ho 0.000 0.000 0.000
Cu 0.164 0.664 0.500
Cu 0.336 0.500 0.836
Cu 0.500 0.164 0.664
Cu 0.500 0.836 0.336
Cu 0.664 0.500 0.164
Cu 0.836 0.336 0.500
O 0.149 0.328 0.477
O 0.149 0.672 0.822
O 0.178 0.851 0.328
O 0.328 0.178 0.851
O 0.328 0.477 0.149
O 0.477 0.149 0.328
O 0.523 0.851 0.672
O 0.672 0.523 0.851
O 0.672 0.822 0.149
O 0.822 0.149 0.672
O 0.851 0.328 0.178
O 0.851 0.672 0.523

The 10 most intense peaks (2θ from 15° to 90°), sorted by position:
2θ (°)	Rel. int.
23.87	796
29.34	487
38.17	111
45.52	1000
48.86	94
52.04	139
63.64	355
68.99	104
76.69	93
79.19	148

# CuPd14W
Calculated powder X-ray diffraction pattern, a wavelength of 1.5418 Å. Input: a structure optimized by DFT (GGA-PBE).
Peak positions follow from Bragg's law for the DFT cell and can differ from measured ones.

Crystal structure
a = 5.617 Å, b = 5.617 Å, c = 7.732 Å
α = 90.00°, β = 90.00°, γ = 90.00°
Element x y z (fractional)
Cu 0.000 0.000 0.000
Pd 0.000 0.000 0.500
Pd 0.000 0.500 0.000
Pd 0.000 0.500 0.500
Pd 0.252 0.252 0.241
Pd 0.252 0.252 0.759
Pd 0.252 0.748 0.241
Pd 0.252 0.748 0.759
Pd 0.500 0.000 0.000
Pd 0.500 0.000 0.500
Pd 0.500 0.500 0.500
Pd 0.748 0.252 0.241
Pd 0.748 0.252 0.759
Pd 0.748 0.748 0.241
Pd 0.748 0.748 0.759
W 0.500 0.500 0.000

The 10 most intense peaks (2θ from 15° to 90°), sorted by position:
2θ (°)	Rel. int.
15.78	24
19.53	24
39.67	1000
45.69	334
47.01	150
66.60	106
67.64	197
80.39	246
82.33	110
85.47	104

# BeCu2Cl4
Calculated powder X-ray diffraction pattern, a wavelength of 1.5418 Å. Input: a structure optimized by DFT (GGA-PBE).
Peak positions follow from Bragg's law for the DFT cell and can differ from measured ones.

Crystal structure
a = 5.657 Å, b = 5.657 Å, c = 10.683 Å
α = 90.00°, β = 90.00°, γ = 90.00°
Element x y z (fractional)
Be 0.000 0.000 0.000
Be 0.500 0.500 0.500
Cu 0.000 0.500 0.000
Cu 0.000 0.500 0.500
Cu 0.500 0.000 0.000
Cu 0.500 0.000 0.500
Cl 0.209 0.209 0.888
Cl 0.209 0.791 0.112
Cl 0.291 0.291 0.388
Cl 0.291 0.709 0.612
Cl 0.709 0.291 0.612
Cl 0.709 0.709 0.388
Cl 0.791 0.209 0.112
Cl 0.791 0.791 0.888

The 10 most intense peaks (2θ from 15° to 90°), sorted by position:
2θ (°)	Rel. int.
16.60	724
17.74	122
22.22	364
27.86	1000
35.93	221
40.62	218
45.34	225
46.78	427
48.61	157
54.06	222

# Ac12PmNd5
Calculated powder X-ray diffraction pattern, a wavelength of 1.5418 Å. Input: a structure optimized by DFT (GGA-PBE).
Peak positions follow from Bragg's law for the DFT cell and can differ from measured ones.

Crystal structure
a = 6.273 Å, b = 11.762 Å, c = 11.762 Å
α = 60.68°, β = 90.00°, γ = 90.00°
Element x y z (fractional)
Ac 0.000 0.162 0.838
Ac 0.000 0.171 0.495
Ac 0.000 0.495 0.171
Ac 0.000 0.504 0.829
Ac 0.000 0.829 0.504
Ac 0.000 0.838 0.162
Ac 0.500 0.046 0.722
Ac 0.500 0.055 0.379
Ac 0.500 0.379 0.055
Ac 0.500 0.388 0.713
Ac 0.500 0.713 0.388
Ac 0.500 0.722 0.046
Pm 0.000 0.162 0.162
Nd 0.000 0.495 0.495
Nd 0.000 0.829 0.829
Nd 0.500 0.055 0.055
Nd 0.500 0.388 0.388
Nd 0.500 0.722 0.722

The 10 most intense peaks (2θ from 15° to 90°), sorted by position:
2θ (°)	Rel. int.
26.07	206
26.34	131
28.46	365
29.76	1000
30.01	459
38.97	145
46.32	193
51.22	227
55.26	231
55.74	159